# 1
Computed XRD peak list of KSmEuSbO6 for Cu Ka, from DFT lattice parameters and positions (PBE).
Kinematic intensities with the Lorentz-polarization factor, no thermal factor.

Peak list (12 most intense, 15° ≤ 2θ ≤ 90°, sorted by position)
2θ/deg, d_spacing, I (rel.)
29.88, 2.990, 100
30.04, 2.975, 48
42.53, 2.125, 15
42.87, 2.109, 13
43.13, 2.098, 14
52.95, 1.729, 21
53.16, 1.723, 22
53.32, 1.718, 21
62.18, 1.493, 8
70.07, 1.343, 9
70.98, 1.328, 9
86.41, 1.126, 11

Structural model:
```
data_KSmEuSbO6
_chemical_formula_sum 'K4 Sm4 Eu4 Sb4 O24'
_cell_length_a 8.390
_cell_length_b 8.438
_cell_length_c 8.502
_cell_angle_alpha 90.00
_cell_angle_beta 90.00
_cell_angle_gamma 90.00
_space_group_name_H-M_alt 'P 1'
_space_group_IT_number 1
_space_group_name_Hall 'P 1'
loop_
_atom_site_label
_atom_site_fract_x
_atom_site_fract_y
_atom_site_fract_z
K1 0.250 0.250 0.250
K2 0.250 0.750 0.750
K3 0.750 0.250 0.250
K4 0.750 0.750 0.750
Sm1 0.000 0.000 0.000
Sm2 0.000 0.500 0.500
Sm3 0.500 0.000 0.500
Sm4 0.500 0.500 0.000
Eu1 0.250 0.250 0.750
Eu2 0.250 0.750 0.250
Eu3 0.750 0.250 0.750
Eu4 0.750 0.750 0.250
Sb1 0.000 0.000 0.500
Sb2 0.000 0.500 0.000
Sb3 0.500 0.000 0.000
Sb4 0.500 0.500 0.500
O1 0.034 0.055 0.734
O2 0.034 0.445 0.766
O3 0.038 0.733 0.981
O4 0.038 0.767 0.519
O5 0.233 0.026 0.463
O6 0.233 0.474 0.037
O7 0.267 0.026 0.037
O8 0.267 0.474 0.463
O9 0.462 0.733 0.519
O10 0.462 0.767 0.981
O11 0.466 0.055 0.766
O12 0.466 0.445 0.734
O13 0.534 0.555 0.266
O14 0.534 0.945 0.234
O15 0.538 0.233 0.019
O16 0.538 0.267 0.481
O17 0.733 0.526 0.537
O18 0.733 0.974 0.963
O19 0.767 0.526 0.963
O20 0.767 0.974 0.537
O21 0.962 0.233 0.481
O22 0.962 0.267 0.019
O23 0.966 0.555 0.234
O24 0.966 0.945 0.266
```

=====

# 2
Computed XRD peak list of KSmEuSbO6 for Cu Ka, from DFT lattice parameters and positions (PBE).
Kinematic intensities with the Lorentz-polarization factor, no thermal factor.

Peak list (12 most intense, 15° ≤ 2θ ≤ 90°, sorted by position)
2θ/deg, d_spacing, I (rel.)
18.03, 4.920, 14
20.85, 4.261, 8
29.65, 3.013, 100
34.92, 2.569, 10
42.43, 2.130, 31
46.45, 1.955, 5
52.62, 1.739, 40
56.08, 1.640, 3
61.57, 1.506, 19
69.81, 1.347, 18
77.63, 1.230, 6
85.22, 1.139, 21

Structural model:
```
data_KSmEuSbO6
_chemical_formula_sum 'K1 Sm1 Eu1 Sb1 O6'
_cell_length_a 6.025
_cell_length_b 6.025
_cell_length_c 6.025
_cell_angle_alpha 60.00
_cell_angle_beta 60.00
_cell_angle_gamma 60.00
_space_group_name_H-M_alt 'P 1'
_space_group_IT_number 1
_space_group_name_Hall 'P 1'
loop_
_atom_site_label
_atom_site_fract_x
_atom_site_fract_y
_atom_site_fract_z
K1 0.000 0.000 0.000
Sm1 0.250 0.250 0.250
Eu1 0.500 0.500 0.500
Sb1 0.750 0.750 0.750
O1 0.516 0.516 0.984
O2 0.516 0.984 0.516
O3 0.516 0.984 0.984
O4 0.984 0.516 0.516
O5 0.984 0.516 0.984
O6 0.984 0.984 0.516
```

=====

# 3
Computed XRD peak list of KSrEuSeO6 for Cu Ka, from DFT lattice parameters and positions (PBE).
Kinematic intensities with the Lorentz-polarization factor, no thermal factor.

Peak list (12 most intense, 15° ≤ 2θ ≤ 90°, sorted by position)
2θ/deg, d_spacing, I (rel.)
18.65, 4.758, 10
21.56, 4.121, 21
30.68, 2.914, 100
36.15, 2.485, 10
43.94, 2.060, 33
48.12, 1.891, 6
49.46, 1.843, 8
54.55, 1.682, 38
63.90, 1.457, 20
72.54, 1.303, 18
80.79, 1.190, 6
88.85, 1.101, 22

Structural model:
```
data_KSrEuSeO6
_chemical_formula_sum 'K1 Sr1 Eu1 Se1 O6'
_cell_length_a 5.828
_cell_length_b 5.828
_cell_length_c 5.828
_cell_angle_alpha 60.00
_cell_angle_beta 60.00
_cell_angle_gamma 60.00
_space_group_name_H-M_alt 'P 1'
_space_group_IT_number 1
_space_group_name_Hall 'P 1'
loop_
_atom_site_label
_atom_site_fract_x
_atom_site_fract_y
_atom_site_fract_z
K1 0.000 0.000 0.000
Sr1 0.500 0.500 0.500
Eu1 0.250 0.250 0.250
Se1 0.750 0.750 0.750
O1 0.528 0.528 0.972
O2 0.528 0.972 0.528
O3 0.528 0.972 0.972
O4 0.972 0.528 0.528
O5 0.972 0.528 0.972
O6 0.972 0.972 0.528
```

=====

# 4
Computed XRD peak list of K2EuTa5O15 for Cu Ka, from DFT lattice parameters and positions (PBE).
Kinematic intensities with the Lorentz-polarization factor, no thermal factor.

Peak list (12 most intense, 15° ≤ 2θ ≤ 90°, sorted by position)
2θ/deg, d_spacing, I (rel.)
15.59, 5.684, 31
22.49, 3.954, 61
25.27, 3.525, 56
27.48, 3.246, 38
28.97, 3.082, 63
30.11, 2.968, 27
31.48, 2.842, 53
31.75, 2.819, 100
34.07, 2.631, 37
45.12, 2.010, 29
45.90, 1.977, 31
56.22, 1.636, 58

Structural model:
```
data_K2EuTa5O15
_chemical_formula_sum 'K4 Eu2 Ta10 O30'
_cell_length_a 12.709
_cell_length_b 12.709
_cell_length_c 3.954
_cell_angle_alpha 90.00
_cell_angle_beta 90.00
_cell_angle_gamma 90.00
_space_group_name_H-M_alt 'P 1'
_space_group_IT_number 1
_space_group_name_Hall 'P 1'
loop_
_atom_site_label
_atom_site_fract_x
_atom_site_fract_y
_atom_site_fract_z
K1 0.170 0.330 0.000
K2 0.330 0.830 0.000
K3 0.670 0.170 0.000
K4 0.830 0.670 0.000
Eu1 0.000 0.000 0.000
Eu2 0.500 0.500 0.000
Ta1 0.000 0.500 0.500
Ta2 0.076 0.787 0.500
Ta3 0.213 0.076 0.500
Ta4 0.287 0.576 0.500
Ta5 0.424 0.287 0.500
Ta6 0.500 0.000 0.500
Ta7 0.576 0.713 0.500
Ta8 0.713 0.424 0.500
Ta9 0.787 0.924 0.500
Ta10 0.924 0.213 0.500
O1 0.000 0.500 0.000
O2 0.001 0.343 0.500
O3 0.062 0.133 0.500
O4 0.076 0.806 0.000
O5 0.133 0.938 0.500
O6 0.157 0.499 0.500
O7 0.194 0.076 0.000
O8 0.215 0.715 0.500
O9 0.285 0.215 0.500
O10 0.306 0.576 0.000
O11 0.343 0.999 0.500
O12 0.367 0.438 0.500
O13 0.424 0.306 0.000
O14 0.438 0.633 0.500
O15 0.499 0.843 0.500
O16 0.500 0.000 0.000
O17 0.501 0.157 0.500
O18 0.562 0.367 0.500
O19 0.576 0.694 0.000
O20 0.633 0.562 0.500
O21 0.657 0.001 0.500
O22 0.694 0.424 0.000
O23 0.715 0.785 0.500
O24 0.785 0.285 0.500
O25 0.806 0.924 0.000
O26 0.843 0.501 0.500
O27 0.867 0.062 0.500
O28 0.924 0.194 0.000
O29 0.938 0.867 0.500
O30 0.999 0.657 0.500
```